Diffraction record for Pa5BS4. The X-ray powder pattern is simulated, not measured: it uses a cell relaxed with PBE and λ = 1.5418 Å (Cu Kα).
Peak positions follow from Bragg's law for the DFT cell and can differ from measured ones.

Main lines, most intense first (2θ = 10–90°):
Position (°2θ)  I_rel  h k l
28.2  100  1 2 1
32.7  87  0 0 2
46.9  63  3 1 2
55.6  47  1 2 3
78.0  27  3 1 4
58.3  22  2 4 2
87.1  21  2 4 4
75.6  19  5 0 3
68.5  10  0 0 4
41.0  2  2 3 1
68.0  1  1 6 1
59.9  1  2 5 1

Cell and atoms:
Unit cell a=8.6655 b=8.6655 c=5.4791 alpha=90.00 beta=90.00 gamma=90.00
Space group I4/m (No. 87)
Asymmetric unit:
1 Pa 0.0000 0.0000 0.0000 [2 per cell]
2 Pa 0.0959 0.7131 0.5000 [8 per cell]
3 B 0.0000 0.0000 0.5000 [2 per cell]
4 S 0.0960 0.6985 0.0000 [8 per cell]